Diffraction record for AgB2Cl8. The powder XRD pattern is computed, not measured: it uses a structure optimized by DFT (PBE) and copper Kα.
Neutral-atom scattering factors, no anomalous dispersion.

Crystal structure
abc: 11.2553 9.5696 6.0977
angles: 90.00 91.28 90.00
Space group C2/m (No. 12)
Symmetry-distinct sites (fractional):
Ag: 0.0000 0.0000 0.0000
B: 0.2166 0.0000 0.6714
Cl: 0.1254 0.1571 0.7769
Cl: 0.1367 0.5000 0.2068
Cl: 0.2148 0.0000 0.3736

The 8 most intense peaks (10° ≤ 2θ ≤ 90°), in order of falling intensity:
hkl 1 1 0, 12.1 deg, I 100
hkl 2 2 -1, 28.3 deg, I 63
hkl 1 1 1, 19.1 deg, I 53
hkl 0 2 0, 18.5 deg, I 48
hkl 3 1 1, 29.7 deg, I 45
hkl 2 0 1, 21.7 deg, I 33
hkl 2 4 -1, 43.6 deg, I 30
hkl 3 3 0, 37.0 deg, I 23

=====

Diffraction record for Ag2BCl5. The powder XRD pattern is computed, not measured: it uses a structure optimized by DFT (PBE) and copper Kα.
Neutral-atom scattering factors, no anomalous dispersion.

Crystal structure
abc: 10.5442 11.0334 8.2919
angles: 90.00 90.00 90.00
Space group Pnnm (No. 58)
Symmetry-distinct sites (fractional):
Ag: 0.0000 0.0000 0.2227
Ag: 0.1560 0.3669 0.5000
B: 0.2110 0.7528 0.5000
Cl: 0.0822 0.6289 0.5000
Cl: 0.1133 0.8732 0.0000
Cl: 0.1302 0.9054 0.5000
Cl: 0.1931 0.2329 0.1825

The 8 most intense peaks (10° ≤ 2θ ≤ 90°), in order of falling intensity:
hkl 0 1 1, 13.4 deg, I 100
hkl 1 1 0, 11.6 deg, I 82
hkl 2 2 0, 23.3 deg, I 62
hkl 1 1 2, 24.4 deg, I 59
hkl 0 4 2, 39.2 deg, I 58
hkl 1 3 0, 25.7 deg, I 52
hkl 1 2 2, 28.2 deg, I 43
hkl 1 2 0, 18.1 deg, I 43

=====

Repeat the first record exactly.
Diffraction record for AgB2Cl8. The powder XRD pattern is computed, not measured: it uses a structure optimized by DFT (PBE) and copper Kα.
Neutral-atom scattering factors, no anomalous dispersion.

Crystal structure
abc: 11.2553 9.5696 6.0977
angles: 90.00 91.28 90.00
Space group C2/m (No. 12)
Symmetry-distinct sites (fractional):
Ag: 0.0000 0.0000 0.0000
B: 0.2166 0.0000 0.6714
Cl: 0.1254 0.1571 0.7769
Cl: 0.1367 0.5000 0.2068
Cl: 0.2148 0.0000 0.3736

The 8 most intense peaks (10° ≤ 2θ ≤ 90°), in order of falling intensity:
hkl 1 1 0, 12.1 deg, I 100
hkl 2 2 -1, 28.3 deg, I 63
hkl 1 1 1, 19.1 deg, I 53
hkl 0 2 0, 18.5 deg, I 48
hkl 3 1 1, 29.7 deg, I 45
hkl 2 0 1, 21.7 deg, I 33
hkl 2 4 -1, 43.6 deg, I 30
hkl 3 3 0, 37.0 deg, I 23